No. 1
Computed XRD peak list
Compound: LaGdTh2
Radiation: CuKα
Structure: a cell relaxed with GGA-PBE
No peak broadening, texture or thermal motion is included.

Atomic structure:
```
data_LaGdTh2
_chemical_formula_sum 'La1 Gd1 Th2'
_cell_length_a 3.564
_cell_length_b 3.564
_cell_length_c 10.376
_cell_angle_alpha 90.00
_cell_angle_beta 90.00
_cell_angle_gamma 90.00
_space_group_name_H-M_alt 'P 4/m m m'
_space_group_IT_number 123
_space_group_name_Hall '-P 4 2'
loop_
_atom_site_label
_atom_site_fract_x
_atom_site_fract_y
_atom_site_fract_z
La1 0.000 0.000 0.000
Gd1 0.000 0.000 0.500
Th1 0.500 0.500 0.254
```

Principal peaks in the range 2θ = 5–70°, most intense first:
| 2θ (°) | I (rel.) | h k l |
| --- | --- | --- |
| 30.4 | 100 | 1 0 2 |
| 35.6 | 33 | 1 1 0 |
| 60.8 | 29 | 2 1 2 |
| 50.5 | 25 | 1 1 4 |
| 34.6 | 18 | 0 0 4 |
| 59.4 | 15 | 1 0 6 |
| 63.3 | 13 | 2 0 4 |
| 51.3 | 12 | 2 0 0 |
| 17.1 | 4 | 0 0 2 |
| 25.0 | 3 | 1 0 0 |
| 39.8 | 2 | 1 1 2 |
| 43.1 | 2 | 1 0 4 |

=====

No. 2
Computed XRD peak list
Compound: Pr3Si2BiPt9
Radiation: CuKα
Structure: a cell relaxed with GGA-PBE
No peak broadening, texture or thermal motion is included.

Atomic structure:
```
data_Pr3Si2BiPt9
_chemical_formula_sum 'Pr3 Si2 Bi1 Pt9'
_cell_length_a 7.5305
_cell_length_b 7.5305
_cell_length_c 6.7123
_cell_angle_alpha 90.00
_cell_angle_beta 90.00
_cell_angle_gamma 120.00
_space_group_name_H-M_alt 'P -3 m 1'
_space_group_IT_number 164
_space_group_name_Hall '-P 3 2"'
loop_
_atom_site_label
_atom_site_fract_x
_atom_site_fract_y
_atom_site_fract_z
Pr1 0.0000 0.0000 0.0000
Pr2 0.3333 0.6667 0.6574
Si1 0.3333 0.6667 0.1298
Bi1 0.0000 0.0000 0.5000
Pt1 0.0000 0.5000 0.0000
Pt2 0.1811 0.3623 0.3107
```

Principal peaks in the range 2θ = 5–70°, most intense first:
| 2θ (°) | I (rel.) | h k l |
| --- | --- | --- |
| 30.5 | 100 | 0 2 1 |
| 38.5 | 87 | 2 0 2 |
| 48.3 | 43 | 2 2 0 |
| 64.7 | 20 | 2 2 3 |
| 63.4 | 19 | 0 4 2 |
| 62.2 | 18 | 0 2 4 |
| 19.0 | 17 | 1 0 1 |
| 40.3 | 15 | 0 0 3 |
| 58.2 | 14 | 4 0 1 |
| 38.9 | 8 | 2 1 1 |
| 36.5 | 6 | 2 1 0 |
| 27.2 | 4 | 1 1 1 |